For RbNiAs2Pd, a PBE-relaxed structure gives the calculated powder X-ray diffraction pattern in this record (Cu Kα (λ = 1.5418 Å)).

Atomic structure:
Unit cell a=5.5544 b=6.7484 c=6.7514 alpha=90.00 beta=109.19 gamma=90.00
Space group C2 (No. 5)
Inequivalent atoms, fractional coordinates:
Rb 0.0000 0.0000 0.0000
Ni 0.0000 0.2036 0.5000
As 0.1232 0.4968 0.3463
Pd 0.0000 0.7986 0.5000

Top 10 peaks for 2θ = 10–90°, most intense first:
d [Å]	two_theta	I_rel	index
6.376	13.89	100	0 0 1
2.919	30.63	76	1 1 -2
2.139	42.24	49	2 2 -1
3.123	28.58	42	1 1 1
1.896	47.99	38	1 3 1
1.798	50.77	33	0 2 3
3.188	27.99	26	0 0 2
2.623	34.19	25	2 0 0
2.982	29.96	21	0 2 1
1.761	51.91	17	2 0 2